This entry pairs a crystal structure of Mn12O7F17 with its calculated X-ray powder pattern. Radiation: a wavelength of 1.5418 Å. Structure: the GGA+U geometry in Alexandria.

Most intense lines, 2θ = 5–70°, by intensity:
2θ = 23.9°, rel. 100.0, hkl 1 1 0; 2θ = 29.9°, rel. 92.9, hkl 1 -1 3; 2θ = 29.3°, rel. 91.6, hkl 1 1 3; 2θ = 29.8°, rel. 91.5, hkl -1 1 3; 2θ = 29.5°, rel. 90.8, hkl 1 1 -3; 2θ = 24.5°, rel. 86.9, hkl 1 -1 0; 2θ = 51.7°, rel. 67.1, hkl 2 0 6; 2θ = 34.0°, rel. 42.4, hkl 0 0 6; 2θ = 51.8°, rel. 42.2, hkl 2 0 -6; 2θ = 39.0°, rel. 39.3, hkl 1 0 6; 2θ = 52.0°, rel. 38.4, hkl 2 2 3; 2θ = 52.3°, rel. 33.8, hkl 2 2 -3

Lattice parameters (Å, degrees): 4.7665 5.7723 15.8192 89.41 89.90 88.64
Sites, in units of the cell vectors:
Mn 0.0000 0.0000 0.0000
Mn 0.0017 0.7127 0.5044
Mn 0.0116 0.6877 0.1683
Mn 0.0394 0.6750 0.8415
Mn 0.0449 0.0113 0.6674
Mn 0.4554 0.5109 0.0106
Mn 0.4727 0.5238 0.6692
Mn 0.4841 0.2084 0.5110
Mn 0.5080 0.2215 0.8335
Mn 0.5104 0.1775 0.1738
Mn 0.5490 0.5245 0.3401
Mn 0.9893 0.9881 0.3329
O 0.2126 0.7538 0.6086
O 0.2220 0.7246 0.9550
O 0.2661 0.4648 0.1138
O 0.2789 0.2376 0.6085
O 0.2977 0.4468 0.7836
O 0.7951 0.9335 0.2266
O 0.8145 0.7418 0.3954
F 0.2292 0.9593 0.1133
F 0.2373 0.9892 0.4472
F 0.2639 0.7230 0.2739
F 0.2732 0.2221 0.2894
F 0.2752 0.2386 0.9418
F 0.2781 0.9719 0.7844
F 0.2790 0.4654 0.4526
F 0.7108 0.4659 0.9002
F 0.7165 0.2446 0.0535
F 0.7222 0.2279 0.4068
F 0.7276 0.4653 0.5563
F 0.7403 0.9777 0.5584
F 0.7442 0.7347 0.0615
F 0.7633 0.2362 0.7279
F 0.7636 0.9872 0.8847
F 0.7695 0.4387 0.2271
F 0.8039 0.7510 0.7272